1.
Structure and theoretical XRD peak list of Dy2Sn2O7 (a PBE-relaxed structure; Cu Kα, 1.54184 Å).
Lines closer than 0.1° are merged.

Structural model:
Lattice parameters (Å, degrees): 10.498 10.498 10.498 90.00 90.00 90.00
Space group Fd-3m (No. 227, origin choice 2)
Inequivalent atoms, fractional coordinates:
Dy1 0.000 0.000 0.000 (multiplicity 16)
Sn1 0.000 0.000 0.500 (multiplicity 16)
O1 0.089 0.375 0.875 (multiplicity 48)
O2 0.125 0.125 0.125 (multiplicity 8)

Largest 10 diffraction maxima, in order of rising 2θ, 5 to 70 degrees two-theta:
2θ = 14.6°, rel. 2, (1 1 1); 2θ = 28.2°, rel. 1, (3 1 1); 2θ = 29.5°, rel. 100, (2 2 2); 2θ = 34.2°, rel. 34, (4 0 0); 2θ = 37.3°, rel. 3, (3 3 1); 2θ = 44.9°, rel. 1, (5 1 1); 2θ = 49.1°, rel. 49, (4 4 0); 2θ = 51.5°, rel. 1, (5 3 1); 2θ = 58.3°, rel. 45, (6 2 2); 2θ = 61.2°, rel. 10, (4 4 4)



2.
Structure and theoretical XRD peak list of SrDy2O4 (a PBE-relaxed structure; Cu Kα, 1.54184 Å).
Lines closer than 0.1° are merged.

Structural model:
```
data_SrDy2O4
_symmetry_space_group_name_H-M 'P n m a'
_symmetry_Int_Tables_number 62
_cell_length_a 10.157
_cell_length_b 3.434
_cell_length_c 12.007
_cell_angle_alpha 90.00
_cell_angle_beta 90.00
_cell_angle_gamma 90.00
loop_
_symmetry_equiv_pos_as_xyz
'x,y,z'
'-x,-y,-z'
'-x+1/2,-y,z+1/2'
'x+1/2,y,-z+1/2'
'x+1/2,-y+1/2,-z+1/2'
'-x+1/2,y+1/2,z+1/2'
'-x,y+1/2,-z'
'x,-y+1/2,z'
loop_
_atom_site_label
_atom_site_type_symbol
_atom_site_fract_x
_atom_site_fract_y
_atom_site_fract_z
Sr1 Sr 0.248 0.250 0.149
Dy1 Dy 0.076 0.250 0.889
Dy2 Dy 0.078 0.250 0.388
O1 O 0.014 0.750 0.784
O2 O 0.074 0.250 0.578
O3 O 0.126 0.750 0.020
O4 O 0.212 0.750 0.325
```

Largest 10 diffraction maxima, in order of rising 2θ, 5 to 70 degrees two-theta:
2θ = 29.8°, rel. 49, (0 0 4); 2θ = 30.3°, rel. 100, (3 0 2); 2θ = 31.3°, rel. 88, (1 1 2); 2θ = 31.4°, rel. 42, (2 1 0); 2θ = 43.8°, rel. 42, (2 1 4); 2θ = 44.4°, rel. 25, (4 1 0); 2θ = 53.8°, rel. 19, (1 1 6); 2θ = 54.3°, rel. 24, (4 1 4); 2θ = 54.7°, rel. 18, (5 1 2); 2θ = 62.6°, rel. 29, (3 2 2)



3.
Structure and theoretical XRD peak list of SrDyO3 (a PBE-relaxed structure; Cu Kα, 1.54184 Å).
Lines closer than 0.1° are merged.

Structural model:
```
data_SrDyO3
_symmetry_space_group_name_H-M 'P m -3 m'
_symmetry_Int_Tables_number 221
_symmetry_space_group_name_Hall '-P 4 2 3'
_cell_length_a 4.373
_cell_length_b 4.373
_cell_length_c 4.373
_cell_angle_alpha 90.00
_cell_angle_beta 90.00
_cell_angle_gamma 90.00
loop_
_atom_site_label
_atom_site_type_symbol
_atom_site_fract_x
_atom_site_fract_y
_atom_site_fract_z
Sr1 Sr 0.000 0.000 0.000
Dy1 Dy 0.500 0.500 0.500
O1 O 0.000 0.500 0.500
```

Largest 8 diffraction maxima, in order of rising 2θ, 5 to 70 degrees two-theta:
2θ = 20.3°, rel. 18, (1 0 0); 2θ = 28.9°, rel. 100, (1 1 0); 2θ = 41.3°, rel. 31, (2 0 0); 2θ = 46.4°, rel. 8, (2 1 0); 2θ = 51.2°, rel. 42, (2 1 1); 2θ = 59.8°, rel. 20, (2 2 0); 2θ = 63.9°, rel. 4, (3 0 0); 2θ = 67.8°, rel. 18, (3 1 0)



4.
Structure and theoretical XRD peak list of Sr2DyUO6 (a PBE-relaxed structure; Cu Kα, 1.54184 Å).
Lines closer than 0.1° are merged.

Structural model:
```
data_Sr2DyUO6
_symmetry_space_group_name_H-M 'F m -3 m'
_symmetry_Int_Tables_number 225
_symmetry_space_group_name_Hall '-F 4 2 3'
_cell_length_a 8.705
_cell_length_b 8.705
_cell_length_c 8.705
_cell_angle_alpha 90.00
_cell_angle_beta 90.00
_cell_angle_gamma 90.00
loop_
_atom_site_label
_atom_site_type_symbol
_atom_site_fract_x
_atom_site_fract_y
_atom_site_fract_z
Sr1 Sr 0.250 0.250 0.250
Dy1 Dy 0.000 0.000 0.000
U1 U 0.000 0.000 0.500
O1 O 0.000 0.000 0.255
```

Largest 10 diffraction maxima, in order of rising 2θ, 5 to 70 degrees two-theta:
2θ = 17.6°, rel. 3, (1 1 1); 2θ = 20.4°, rel. 25, (2 0 0); 2θ = 29.0°, rel. 100, (2 2 0); 2θ = 34.2°, rel. 2, (3 1 1); 2θ = 41.5°, rel. 30, (4 0 0); 2θ = 46.7°, rel. 12, (4 2 0); 2θ = 51.4°, rel. 42, (4 2 2); 2θ = 60.1°, rel. 19, (4 4 0); 2θ = 64.2°, rel. 6, (6 0 0); 2θ = 68.1°, rel. 19, (6 2 0)